(1)
Computed X-ray powder pattern
Compound: Na2InHg2Bi2
Radiation: copper Kα
Structure: a structure optimized by DFT (PBE)
Neutral-atom scattering factors, no anomalous dispersion.

Cell and atoms:
```
Na2InHg2Bi2
1.0
2.642 1.525 8.101
-2.642 1.525 8.101
0.000 -3.050 8.101
Na In Hg Bi
2 1 2 2
Direct
0.136 0.136 0.136
0.864 0.864 0.864
0.000 0.000 0.000
0.433 0.433 0.433
0.567 0.567 0.567
0.274 0.274 0.274
0.726 0.726 0.726
```

The 10 most intense peaks (15 to 90 degrees two-theta), by intensity:
- 33.9°, rel. 100.0
- 32.4°, rel. 98.4
- 59.7°, rel. 34.7
- 47.6°, rel. 34.1
- 24.4°, rel. 32.1
- 19.7°, rel. 29.2
- 40.8°, rel. 25.7
- 21.9°, rel. 20.1
- 60.7°, rel. 19.0
- 80.6°, rel. 15.0

(2)
Computed X-ray powder pattern
Compound: Sr4CdRh
Radiation: copper Kα
Structure: a structure optimized by DFT (PBE)
Neutral-atom scattering factors, no anomalous dispersion.

Cell and atoms:
```
Sr4CdRh
1.0
5.041 -8.020 0.000
5.041 8.020 0.000
-4.534 0.000 6.026
Sr Cd Rh
8 2 2
Direct
0.058 0.641 0.844
0.196 0.271 0.728
0.271 0.196 0.228
0.359 0.942 0.656
0.641 0.058 0.344
0.729 0.804 0.772
0.804 0.729 0.272
0.942 0.359 0.156
0.372 0.628 0.250
0.628 0.372 0.750
0.080 0.920 0.750
0.920 0.080 0.250
```

The 10 most intense peaks (15 to 90 degrees two-theta), by intensity:
- 28.5°, rel. 100.0
- 18.4°, rel. 94.1
- 32.9°, rel. 85.6
- 20.9°, rel. 82.4
- 29.6°, rel. 77.6
- 31.5°, rel. 53.0
- 42.7°, rel. 43.2
- 35.8°, rel. 42.9
- 35.2°, rel. 42.9
- 26.7°, rel. 31.8

(3)
Computed X-ray powder pattern
Compound: TbPr5Pb5
Radiation: copper Kα
Structure: a structure optimized by DFT (PBE)
Neutral-atom scattering factors, no anomalous dispersion.

Cell and atoms:
```
TbPr5Pb5
1.0
7.391 -3.224 0.000
7.391 3.224 0.000
-2.660 0.000 8.381
Tb Pr Pb
1 5 5
Direct
0.000 0.000 0.000
0.000 0.000 0.500
0.331 0.331 0.666
0.335 0.335 0.171
0.665 0.665 0.829
0.669 0.669 0.334
0.163 0.163 0.330
0.163 0.163 0.836
0.500 0.500 0.000
0.837 0.837 0.164
0.837 0.837 0.670
```

The 10 most intense peaks (15 to 90 degrees two-theta), by intensity:
- 27.7°, rel. 100.0
- 27.7°, rel. 99.7
- 27.9°, rel. 96.3
- 39.6°, rel. 76.6
- 39.7°, rel. 76.1
- 64.7°, rel. 54.6
- 47.9°, rel. 44.6
- 38.3°, rel. 41.5
- 50.2°, rel. 38.8
- 41.1°, rel. 34.5

(4)
Computed X-ray powder pattern
Compound: Ag2Pd13
Radiation: copper Kα
Structure: a structure optimized by DFT (PBE)
Neutral-atom scattering factors, no anomalous dispersion.

Cell and atoms:
```
Ag2Pd13
1.0
3.666 2.116 6.514
-3.666 2.116 6.514
0.000 -4.233 6.514
Ag Pd
2 13
Direct
0.234 0.234 0.234
0.766 0.766 0.766
0.000 0.000 0.000
0.015 0.015 0.646
0.015 0.646 0.015
0.237 0.237 0.601
0.237 0.601 0.237
0.354 0.985 0.985
0.399 0.763 0.763
0.601 0.237 0.237
0.646 0.015 0.015
0.763 0.399 0.763
0.763 0.763 0.399
0.985 0.354 0.985
0.985 0.985 0.354
```

The 10 most intense peaks (15 to 90 degrees two-theta), by intensity:
- 41.9°, rel. 100.0
- 44.3°, rel. 49.5
- 45.0°, rel. 45.2
- 39.5°, rel. 40.5
- 37.8°, rel. 39.3
- 28.5°, rel. 36.4
- 73.3°, rel. 28.3
- 41.6°, rel. 19.0
- 78.2°, rel. 17.3
- 35.1°, rel. 16.9

(5)
Computed X-ray powder pattern
Compound: TbNd2Er3
Radiation: copper Kα
Structure: a structure optimized by DFT (PBE)
Neutral-atom scattering factors, no anomalous dispersion.

Cell and atoms:
```
TbNd2Er3
1.0
8.501 -2.777 0.000
8.501 2.777 0.000
-5.725 0.000 8.282
Tb Nd Er
2 4 6
Direct
0.134 0.134 0.140
0.866 0.866 0.860
0.228 0.228 0.870
0.489 0.489 0.141
0.511 0.511 0.859
0.772 0.772 0.130
0.050 0.050 0.396
0.293 0.293 0.576
0.388 0.388 0.346
0.612 0.612 0.654
0.707 0.707 0.424
0.950 0.950 0.604
```

The 10 most intense peaks (15 to 90 degrees two-theta), by intensity:
- 31.3°, rel. 100.0
- 31.1°, rel. 83.3
- 32.2°, rel. 52.9
- 31.6°, rel. 34.9
- 45.7°, rel. 26.0
- 56.8°, rel. 21.6
- 31.0°, rel. 19.1
- 56.9°, rel. 18.5
- 55.3°, rel. 14.3
- 43.7°, rel. 14.3

(6)
Computed X-ray powder pattern
Compound: BiPtSe
Radiation: copper Kα
Structure: a structure optimized by DFT (PBE)
Neutral-atom scattering factors, no anomalous dispersion.

Cell and atoms:
```
BiPtSe
1.0
6.548 0.000 0.000
0.000 6.548 0.000
0.000 0.000 6.548
Bi Pt Se
4 4 4
Direct
0.129 0.371 0.629
0.371 0.629 0.129
0.629 0.129 0.371
0.871 0.871 0.871
0.012 0.988 0.488
0.488 0.012 0.988
0.512 0.512 0.512
0.988 0.488 0.012
0.120 0.120 0.120
0.380 0.880 0.620
0.620 0.380 0.880
0.880 0.620 0.380
```

The 10 most intense peaks (15 to 90 degrees two-theta), by intensity:
- 46.0°, rel. 100.0
- 30.5°, rel. 96.8
- 33.5°, rel. 61.1
- 27.2°, rel. 40.3
- 52.3°, rel. 36.6
- 38.9°, rel. 33.5
- 75.4°, rel. 29.6
- 23.5°, rel. 25.6
- 83.5°, rel. 23.1
- 78.7°, rel. 22.4

(7)
Computed X-ray powder pattern
Compound: HfBe8Ru3
Radiation: copper Kα
Structure: a structure optimized by DFT (PBE)
Neutral-atom scattering factors, no anomalous dispersion.

Cell and atoms:
```
HfBe8Ru3
1.0
4.420 0.000 0.000
-2.210 3.828 0.000
0.000 0.000 7.289
Hf Be Ru
1 8 3
Direct
0.000 0.000 0.000
0.166 0.332 0.673
0.166 0.834 0.673
0.333 0.667 0.437
0.333 0.667 0.926
0.503 0.007 0.202
0.503 0.497 0.202
0.668 0.834 0.673
0.993 0.497 0.202
0.000 0.000 0.369
0.667 0.333 0.500
0.667 0.333 0.872
```

The 10 most intense peaks (15 to 90 degrees two-theta), by intensity:
- 44.1°, rel. 100.0
- 40.8°, rel. 88.9
- 23.2°, rel. 88.8
- 26.3°, rel. 69.9
- 48.1°, rel. 60.6
- 24.4°, rel. 47.5
- 76.6°, rel. 38.5
- 34.0°, rel. 37.6
- 61.7°, rel. 30.1
- 68.9°, rel. 21.5

(8)
Computed X-ray powder pattern
Compound: In2Ga3Hg5
Radiation: copper Kα
Structure: a structure optimized by DFT (PBE)
Neutral-atom scattering factors, no anomalous dispersion.

Cell and atoms:
```
In2Ga3Hg5
1.0
7.148 -1.766 0.000
7.148 1.766 0.000
-1.767 0.000 9.749
In Ga Hg
2 3 5
Direct
0.153 0.153 0.217
0.847 0.847 0.783
0.000 0.000 0.500
0.479 0.479 0.277
0.521 0.521 0.723
0.177 0.177 0.877
0.329 0.329 0.461
0.500 0.500 0.000
0.671 0.671 0.539
0.823 0.823 0.123
```

The 10 most intense peaks (15 to 90 degrees two-theta), by intensity:
- 34.0°, rel. 100.0
- 32.3°, rel. 39.5
- 32.1°, rel. 37.8
- 31.3°, rel. 33.3
- 38.4°, rel. 32.8
- 35.0°, rel. 19.9
- 44.7°, rel. 18.8
- 51.8°, rel. 16.4
- 37.3°, rel. 14.2
- 31.7°, rel. 14.1

(9)
Computed X-ray powder pattern
Compound: Pr2In8Ag
Radiation: copper Kα
Structure: a structure optimized by DFT (PBE)
Neutral-atom scattering factors, no anomalous dispersion.

Cell and atoms:
```
Pr2In8Ag
1.0
4.811 0.000 0.000
0.000 4.811 0.000
0.000 0.000 12.419
Pr In Ag
2 8 1
Direct
0.000 0.000 0.189
0.000 0.000 0.811
0.000 0.500 0.000
0.000 0.500 0.371
0.000 0.500 0.629
0.500 0.000 0.000
0.500 0.000 0.371
0.500 0.000 0.629
0.500 0.500 0.190
0.500 0.500 0.810
0.000 0.000 0.500
```

The 10 most intense peaks (15 to 90 degrees two-theta), by intensity:
- 34.1°, rel. 100.0
- 37.4°, rel. 50.3
- 65.3°, rel. 31.5
- 29.9°, rel. 23.1
- 53.9°, rel. 17.0
- 53.0°, rel. 16.5
- 36.2°, rel. 12.6
- 66.2°, rel. 12.3
- 58.9°, rel. 8.2
- 66.6°, rel. 8.2

(10)
Computed X-ray powder pattern
Compound: LiTb3Ga
Radiation: copper Kα
Structure: a structure optimized by DFT (PBE)
Neutral-atom scattering factors, no anomalous dispersion.

Cell and atoms:
```
LiTb3Ga
1.0
7.854 0.000 0.000
0.000 6.585 0.000
-2.880 0.000 10.132
Li Tb Ga
4 12 4
Direct
0.047 0.212 0.022
0.047 0.288 0.522
0.953 0.712 0.478
0.953 0.788 0.978
0.190 0.522 0.265
0.190 0.978 0.765
0.257 0.027 0.352
0.257 0.473 0.852
0.388 0.673 0.591
0.388 0.827 0.091
0.612 0.173 0.909
0.612 0.327 0.409
0.743 0.527 0.148
0.743 0.973 0.648
0.810 0.022 0.235
0.810 0.478 0.735
0.413 0.220 0.620
0.413 0.280 0.120
0.587 0.720 0.880
0.587 0.780 0.380
```

The 10 most intense peaks (15 to 90 degrees two-theta), by intensity:
- 35.2°, rel. 100.0
- 36.2°, rel. 97.9
- 34.1°, rel. 69.7
- 32.8°, rel. 67.9
- 33.2°, rel. 66.1
- 30.6°, rel. 58.1
- 29.2°, rel. 53.7
- 32.4°, rel. 49.4
- 34.7°, rel. 48.6
- 51.7°, rel. 46.5

(11)
Computed X-ray powder pattern
Compound: ErGe2IrRu
Radiation: copper Kα
Structure: a structure optimized by DFT (PBE)
Neutral-atom scattering factors, no anomalous dispersion.

Cell and atoms:
```
ErGe2IrRu
1.0
-2.106 2.106 5.007
2.106 -2.106 5.007
2.106 2.106 -5.007
Er Ge Ir Ru
1 2 1 1
Direct
0.000 0.000 0.000
0.375 0.375 0.000
0.625 0.625 0.000
0.750 0.250 0.500
0.250 0.750 0.500
```

The 10 most intense peaks (15 to 90 degrees two-theta), by intensity:
- 35.1°, rel. 100.0
- 42.9°, rel. 50.3
- 34.3°, rel. 41.2
- 73.6°, rel. 23.3
- 56.1°, rel. 20.2
- 63.9°, rel. 17.5
- 62.3°, rel. 16.6
- 47.4°, rel. 15.6
- 22.9°, rel. 14.4
- 50.5°, rel. 13.9

(12)
Computed X-ray powder pattern
Compound: Rb2UAuS5
Radiation: copper Kα
Structure: a structure optimized by DFT (PBE)
Neutral-atom scattering factors, no anomalous dispersion.

Cell and atoms:
```
Rb2UAuS5
1.0
2.002 -9.998 0.000
2.002 9.998 0.000
0.000 0.000 13.664
Rb U Au S
4 2 2 10
Direct
0.120 0.880 0.500
0.123 0.877 0.130
0.877 0.123 0.630
0.880 0.120 0.000
0.204 0.796 0.820
0.796 0.204 0.320
0.436 0.564 0.247
0.564 0.436 0.747
0.077 0.923 0.849
0.294 0.706 0.442
0.295 0.705 0.195
0.326 0.674 0.818
0.493 0.507 0.100
0.507 0.493 0.600
0.674 0.326 0.318
0.705 0.295 0.695
0.706 0.294 0.942
0.923 0.077 0.349
```

The 10 most intense peaks (15 to 90 degrees two-theta), by intensity:
- 30.0°, rel. 100.0
- 27.6°, rel. 90.5
- 26.8°, rel. 81.9
- 21.4°, rel. 66.4
- 34.3°, rel. 54.4
- 15.7°, rel. 47.3
- 47.3°, rel. 43.2
- 26.2°, rel. 42.9
- 26.0°, rel. 38.4
- 38.3°, rel. 36.4

(13)
Computed X-ray powder pattern
Compound: BaC
Radiation: copper Kα
Structure: a structure optimized by DFT (PBE)
Neutral-atom scattering factors, no anomalous dispersion.

Cell and atoms:
```
BaC
1.0
-2.130 5.722 3.697
2.130 -5.722 3.697
2.130 5.722 -3.697
Ba C
3 3
Direct
0.000 0.000 0.000
0.297 0.478 0.818
0.660 0.478 0.182
0.108 0.725 0.383
0.247 0.747 0.500
0.342 0.725 0.617
```

The 10 most intense peaks (15 to 90 degrees two-theta), by intensity:
- 28.8°, rel. 100.0
- 26.3°, rel. 96.8
- 24.1°, rel. 66.8
- 33.0°, rel. 51.8
- 22.3°, rel. 44.0
- 50.6°, rel. 31.6
- 45.4°, rel. 26.4
- 49.3°, rel. 25.2
- 43.7°, rel. 24.2
- 51.6°, rel. 24.0